# 1
Simulated X-ray diffraction stick pattern
Compound: La6In2Tc
Radiation: Cu Kα (λ = 1.5418 Å)
Structure: a structure optimized by DFT (PBE)

Principal peaks in the range 2θ = 10–90°, most intense first:
Position (°2θ)  I (rel.)
29.6  100.0
30.5  53.5
31.7  51.7
37.8  28.3
31.9  24.9
34.6  24.3
44.3  21.9
56.5  21.2

Cell and atoms:
Cell: 4.092 8.944 8.944 Å, 119.59 90.00 90.00°
Sites, in units of the cell vectors:
La  0.000  0.000  0.000
La  0.000  0.533  0.761
La  0.000  0.761  0.533
La  0.500  0.161  0.763
La  0.500  0.366  0.366
La  0.500  0.763  0.161
In  0.000  0.096  0.431
In  0.000  0.431  0.096
Tc  0.500  0.793  0.793



# 2
Simulated X-ray diffraction stick pattern
Compound: La14ThIn
Radiation: Cu Kα (λ = 1.5418 Å)
Structure: a structure optimized by DFT (PBE)

Principal peaks in the range 2θ = 10–90°, most intense first:
Position (°2θ)  I (rel.)
29.8  100.0
49.7  35.9
34.5  34.0
59.0  28.7
34.6  16.6
59.1  13.7
62.0  12.2
80.7  11.4

Cell and atoms:
Cell: 10.359 7.343 7.343 Å, 90.04 90.00 90.00°
Sites, in units of the cell vectors:
La  0.000  0.000  0.000
La  0.000  0.499  0.499
La  0.000  0.499  0.999
La  0.000  0.999  0.499
La  0.258  0.252  0.746
La  0.258  0.746  0.252
La  0.258  0.746  0.746
La  0.259  0.252  0.252
La  0.500  0.499  0.999
La  0.500  0.999  0.499
La  0.741  0.252  0.252
La  0.742  0.252  0.746
La  0.742  0.746  0.252
La  0.742  0.746  0.746
Th  0.500  0.999  0.999
In  0.500  0.499  0.499



# 3
Simulated X-ray diffraction stick pattern
Compound: La6ThIn
Radiation: Cu Kα (λ = 1.5418 Å)
Structure: a structure optimized by DFT (PBE)

Principal peaks in the range 2θ = 10–90°, most intense first:
Position (°2θ)  I (rel.)
30.2  100.0
35.0  50.7
59.8  42.9
50.3  36.1
81.9  17.6
84.5  16.4
62.8  12.4
74.0  5.7

Cell and atoms:
Cell: 5.125 5.125 10.259 Å, 90.00 90.00 90.00°
Sites, in units of the cell vectors:
La  0.000  0.000  0.000
La  0.000  0.000  0.500
La  0.000  0.500  0.250
La  0.000  0.500  0.750
La  0.500  0.000  0.250
La  0.500  0.000  0.750
Th  0.500  0.500  0.000
In  0.500  0.500  0.500



# 4
Simulated X-ray diffraction stick pattern
Compound: La2Tl3In
Radiation: Cu Kα (λ = 1.5418 Å)
Structure: a structure optimized by DFT (PBE)

Principal peaks in the range 2θ = 10–90°, most intense first:
Position (°2θ)  I (rel.)
31.1  100.0
34.2  63.7
34.0  32.3
61.2  23.9
46.8  21.8
24.0  15.5
42.2  14.4
60.9  12.1

Cell and atoms:
Cell: 10.499 9.807 6.450 Å, 77.42 65.74 36.84°
Sites, in units of the cell vectors:
La  0.247  0.753  0.753
La  0.250  0.250  0.250
La  0.750  0.750  0.750
La  0.753  0.247  0.247
Tl  0.168  0.168  0.832
Tl  0.169  0.663  0.337
Tl  0.337  0.831  0.169
Tl  0.663  0.169  0.831
Tl  0.831  0.337  0.663
Tl  0.832  0.832  0.168
In  0.334  0.334  0.666
In  0.666  0.666  0.334



# 5
Simulated X-ray diffraction stick pattern
Compound: La9TlIn2
Radiation: Cu Kα (λ = 1.5418 Å)
Structure: a structure optimized by DFT (PBE)

Principal peaks in the range 2θ = 10–90°, most intense first:
Position (°2θ)  I (rel.)
30.6  100.0
35.4  50.5
60.6  42.2
51.0  35.7
83.1  17.3
85.8  16.2
63.6  12.1
75.0  5.6

Cell and atoms:
Cell: 5.064 5.064 15.196 Å, 90.00 90.00 90.00°
Sites, in units of the cell vectors:
La  0.000  0.000  0.000
La  0.000  0.000  0.334
La  0.000  0.000  0.666
La  0.000  0.500  0.168
La  0.000  0.500  0.500
La  0.000  0.500  0.832
La  0.500  0.000  0.168
La  0.500  0.000  0.500
La  0.500  0.000  0.832
Tl  0.500  0.500  0.000
In  0.500  0.500  0.333
In  0.500  0.500  0.667



# 6
Simulated X-ray diffraction stick pattern
Compound: LaTlIn
Radiation: Cu Kα (λ = 1.5418 Å)
Structure: a structure optimized by DFT (PBE)

Principal peaks in the range 2θ = 10–90°, most intense first:
Position (°2θ)  I (rel.)
30.1  100.0
35.6  66.8
47.3  28.9
60.6  27.6
49.7  19.8
63.9  12.1
74.1  12.1
83.2  11.4

Cell and atoms:
Cell: 5.046 5.046 4.041 Å, 90.00 90.00 120.00°
Sites, in units of the cell vectors:
La  0.000  0.000  0.000
Tl  0.667  0.333  0.387
In  0.333  0.667  0.583



# 7
Simulated X-ray diffraction stick pattern
Compound: La2Tl4In
Radiation: Cu Kα (λ = 1.5418 Å)
Structure: a structure optimized by DFT (PBE)

Principal peaks in the range 2θ = 10–90°, most intense first:
Position (°2θ)  I (rel.)
32.2  100.0
32.8  58.7
33.8  43.9
39.5  35.6
52.9  31.8
26.4  30.8
43.2  28.2
16.7  27.4

Cell and atoms:
Cell: 8.296 7.168 6.227 Å, 76.17 57.04 46.79°
Sites, in units of the cell vectors:
La  0.141  0.141  0.859
La  0.859  0.859  0.141
Tl  0.000  0.000  0.500
Tl  0.250  0.250  0.250
Tl  0.500  0.500  0.000
Tl  0.750  0.750  0.750
In  0.500  0.500  0.500



# 8
Simulated X-ray diffraction stick pattern
Compound: La4Tl3In
Radiation: Cu Kα (λ = 1.5418 Å)
Structure: a structure optimized by DFT (PBE)

Principal peaks in the range 2θ = 10–90°, most intense first:
Position (°2θ)  I (rel.)
31.8  100.0
56.7  26.0
56.6  13.0
45.7  12.3
75.7  11.1
66.5  8.0
45.5  6.2
75.5  5.5

Cell and atoms:
Cell: 3.971 3.971 15.938 Å, 90.00 90.00 90.00°
Sites, in units of the cell vectors:
La  0.000  0.000  0.123
La  0.000  0.000  0.374
La  0.000  0.000  0.626
La  0.000  0.000  0.877
Tl  0.500  0.500  0.249
Tl  0.500  0.500  0.500
Tl  0.500  0.500  0.751
In  0.500  0.500  0.000